No. 1
Diffraction record for Si3N4. The powder XRD pattern is theoretical, not measured: it uses a structure optimized by DFT (GGA-PBE) and Cu Kα (λ = 1.5418 Å).
Intensities are scaled so that the largest is 100.

Cell and atoms:
Cell lengths 9.5238, 5.5778, 4.5758 Å; angles 90.00, 90.00, 90.00 degrees
Space group Pnma (No. 62)
Unique sites:
1 Si 0.0000 0.0000 0.0000
2 Si 0.0923 0.2500 0.4398
3 Si 0.2259 0.7500 0.4912
4 N 0.0714 0.7500 0.7435
5 N 0.0917 0.2500 0.8125
6 N 0.1626 0.0048 0.2579

Largest 10 diffraction maxima, in order of rising 2θ, 10 to 80 degrees two-theta:
(hkl), d [Å], 2θ (°), I/Imax
2 1 0, 3.622, 24.58, 30
1 1 1, 3.316, 26.88, 32
3 0 1, 2.608, 34.38, 60
3 1 1, 2.363, 38.09, 89
1 2 1, 2.310, 38.99, 100
2 2 1, 2.130, 42.44, 33
2 2 2, 1.658, 55.41, 61
4 0 2, 1.650, 55.72, 23
0 4 0, 1.394, 67.13, 30
6 2 0, 1.380, 67.95, 47

=====

No. 2
Diffraction record for Si3N4. The powder XRD pattern is theoretical, not measured: it uses a structure optimized by DFT (GGA-PBE) and Cu Kα (λ = 1.5418 Å).
Intensities are scaled so that the largest is 100.

Cell and atoms:
Cell lengths 7.6603, 7.6603, 2.9251 Å; angles 90.00, 90.00, 120.00 degrees
Space group P6_3/m (No. 176)
Unique sites:
1 Si 0.1749 0.4061 0.2500
2 N 0.0307 0.3299 0.7500
3 N 0.3333 0.6667 0.2500

Largest 10 diffraction maxima, in order of rising 2θ, 10 to 80 degrees two-theta:
(hkl), d [Å], 2θ (°), I/Imax
1 0 0, 6.634, 13.35, 37
1 1 0, 3.830, 23.22, 35
2 0 0, 3.317, 26.88, 97
1 0 1, 2.676, 33.48, 100
1 2 0, 2.507, 35.81, 96
2 0 1, 2.194, 41.15, 35
3 0 1, 1.764, 51.83, 44
3 2 1, 1.350, 69.64, 55
1 4 1, 1.297, 72.91, 27
1 2 2, 1.263, 75.21, 21